Structure and calculated powder XRD pattern of Th2Cd16Sn (a PBE-relaxed structure; Cu Kα).
Intensities are scaled so that the largest is 1000.

Top 8 peaks for 2θ from 5° to 70°, by intensity:
Position (°2θ), d/Å, intensity, hkl
35.42, 2.534, 1000, 0 3 3
34.95, 2.567, 422, 2 2 0
36.78, 2.443, 415, 0 0 6
30.15, 2.964, 392, 3 0 0
39.66, 2.272, 258, 2 2 3
65.41, 1.427, 206, 0 3 9
62.68, 1.482, 171, 6 0 0
31.65, 2.827, 167, 0 2 4

Structure:
a b c (Å): 10.2691 10.2691 14.6489
angles (deg): 90.00 90.00 120.00
Space group R3m (No. 160, hexagonal axes)
Asymmetric unit:
Th 0.0000 0.0000 0.0000
Th 0.0000 0.0000 0.3321
Cd 0.0000 0.0000 0.7584
Cd 0.0242 0.3539 0.3296
Cd 0.1701 0.3401 0.1461
Cd 0.1828 0.3657 0.5018
Cd 0.1880 0.3761 0.8402
Sn 0.0000 0.0000 0.5573